For LiV4O5F7, a structure optimized by DFT (GGA+U) gives the computed powder X-ray diffraction pattern in this record (Cu Kα, 1.54184 Å).

The 10 most intense peaks (15 to 90 degrees two-theta), sorted by position:
| Position (°2θ) | Rel. int. | index |
| --- | --- | --- |
| 18.2 | 60 | 1 1 0 |
| 18.5 | 100 | 0 1 1 |
| 19.7 | 31 | 1 1 1 |
| 20.7 | 23 | 1 0 -1 |
| 24.7 | 48 | 1 1 -1 |
| 29.7 | 19 | -1 1 1 |
| 31.8 | 23 | 1 0 2 |
| 39.1 | 20 | 1 1 3 |
| 47.4 | 36 | 1 2 -2 |
| 48.2 | 20 | 3 1 1 |

Atomic structure:
abc: 5.8588 5.8860 7.2759
angles: 72.38 85.06 63.32
Positions (direct):
Li  0.0000  0.0000  0.0000
V  0.0811  0.6160  0.8026
V  0.3142  0.2581  0.2054
V  0.5822  0.0646  0.6078
V  0.6114  0.5724  0.0932
O  0.0560  0.6649  0.5412
O  0.2565  0.6167  0.0199
O  0.3437  0.0512  0.5057
O  0.7171  0.7331  0.8439
O  0.8429  0.8916  0.4494
F  0.1201  0.2615  0.9715
F  0.4345  0.3423  0.7408
F  0.4658  0.8807  0.1940
F  0.4978  0.3931  0.3590
F  0.6827  0.2088  0.0853
F  0.9407  0.4431  0.2499
F  0.9470  0.0101  0.7365